[1]
Structure and theoretical powder diffraction line list of Mg5Si9 (a structure optimized by DFT (PBE); Cu Kα X-rays).
Intensities are scaled so that the largest is 100.

Atomic structure:
Cell: 6.1245 7.4403 12.3574 Å, 99.86 92.64 112.50°
Fractional positions:
Mg (0.0000, 0.0000, 0.0000)
Mg (0.0031, 0.7502, 0.3609)
Mg (0.0217, 0.3588, 0.9106)
Mg (0.0754, 0.3940, 0.6490)
Mg (0.3851, 0.2419, 0.7742)
Mg (0.4027, 0.6514, 0.4712)
Mg (0.4787, 0.6930, 0.9802)
Mg (0.5463, 0.0440, 0.3776)
Mg (0.5552, 0.3868, 0.2479)
Mg (0.6539, 0.4372, 0.5539)
Si (0.1059, 0.1133, 0.2591)
Si (0.1815, 0.1860, 0.4603)
Si (0.1896, 0.8197, 0.6268)
Si (0.2282, 0.8677, 0.1505)
Si (0.2385, 0.7945, 0.8161)
Si (0.3611, 0.6672, 0.2505)
Si (0.4264, 0.3134, 0.0121)
Si (0.5477, 0.6675, 0.7383)
Si (0.5771, 0.0775, 0.9181)
Si (0.5837, 0.0703, 0.6095)
Si (0.6117, 0.0745, 0.1118)
Si (0.7409, 0.8314, 0.1880)
Si (0.8305, 0.0183, 0.7507)
Si (0.8397, 0.6193, 0.8637)
Si (0.8424, 0.5825, 0.0637)
Si (0.8930, 0.9255, 0.5482)
Si (0.9397, 0.3706, 0.3893)
Si (0.9877, 0.3621, 0.1815)

Principal peaks in the range 2θ from 10° to 80°, sorted by position:
31.86 deg, rel. 16
33.37 deg, rel. 14
34.51 deg, rel. 57
35.37 deg, rel. 33
36.14 deg, rel. 100
38.80 deg, rel. 16
39.37 deg, rel. 14
40.29 deg, rel. 51
41.38 deg, rel. 14
49.92 deg, rel. 13

***

[2]
Structure and theoretical powder diffraction line list of Mn4Te3Se (a structure optimized by DFT (PBE); Cu Kα X-rays).
Intensities are scaled so that the largest is 100.

Atomic structure:
Cell: 4.1317 4.1317 11.9018 Å, 90.00 90.00 120.00°
Fractional positions:
Mn (0.0000, 0.0000, 0.1150)
Mn (0.0000, 0.0000, 0.3743)
Mn (0.0000, 0.0000, 0.6257)
Mn (0.0000, 0.0000, 0.8850)
Te (0.3333, 0.6667, 0.2479)
Te (0.3333, 0.6667, 0.7521)
Te (0.6667, 0.3333, 0.5000)
Se (0.6667, 0.3333, 0.0000)

Principal peaks in the range 2θ from 10° to 80°, sorted by position:
29.12 deg, rel. 100
39.38 deg, rel. 57
43.82 deg, rel. 48
52.77 deg, rel. 19
53.48 deg, rel. 18
60.37 deg, rel. 15
70.94 deg, rel. 8
71.54 deg, rel. 15
77.53 deg, rel. 14
79.37 deg, rel. 15

***

[3]
Structure and theoretical powder diffraction line list of K3Sb7Se3O12 (a structure optimized by DFT (PBE); Cu Kα X-rays).
Intensities are scaled so that the largest is 100.

Atomic structure:
Cell: 14.8191 5.6492 15.0658 Å, 90.00 118.87 90.00°
Fractional positions:
K (0.0824, 0.0000, 0.3410)
K (0.1741, 0.0047, 0.7773)
K (0.2582, 0.5167, 0.5948)
K (0.7418, 0.0167, 0.4052)
K (0.8259, 0.5047, 0.2227)
K (0.9176, 0.5000, 0.6590)
Sb (0.0265, 0.4979, 0.1296)
Sb (0.1509, 0.5035, 0.9334)
Sb (0.2796, 0.5080, 0.3472)
Sb (0.3327, 0.1256, 0.1665)
Sb (0.3737, 0.5030, 0.8931)
Sb (0.3905, 0.0043, 0.5189)
Sb (0.4337, 0.0085, 0.7747)
Sb (0.5663, 0.5085, 0.2253)
Sb (0.6095, 0.5043, 0.4811)
Sb (0.6263, 0.0030, 0.1069)
Sb (0.6673, 0.6256, 0.8335)
Sb (0.7204, 0.0080, 0.6528)
Sb (0.8491, 0.0035, 0.0666)
Sb (0.9735, 0.9979, 0.8704)
Se (0.1546, 0.9610, 0.1223)
Se (0.3786, 0.9579, 0.0354)
Se (0.4640, 0.9580, 0.3398)
Se (0.5360, 0.4580, 0.6602)
Se (0.6214, 0.4579, 0.9646)
Se (0.8454, 0.4610, 0.8777)
O (0.0021, 0.0192, 0.5710)
O (0.0535, 0.2522, 0.8452)
O (0.0562, 0.7531, 0.8430)
O (0.0855, 0.1329, 0.5797)
O (0.0882, 0.3670, 0.5986)
O (0.1268, 0.4917, 0.2796)
O (0.2209, 0.4947, 0.8492)
O (0.2807, 0.7620, 0.4398)
O (0.2875, 0.2610, 0.4464)
O (0.3435, 0.9941, 0.6246)
O (0.3453, 0.2594, 0.7851)
O (0.3462, 0.7587, 0.7905)
O (0.6538, 0.2587, 0.2095)
O (0.6547, 0.7594, 0.2149)
O (0.6565, 0.4941, 0.3754)
O (0.7125, 0.7610, 0.5536)
O (0.7193, 0.2620, 0.5602)
O (0.7791, 0.9947, 0.1508)
O (0.8732, 0.9917, 0.7204)
O (0.9118, 0.8670, 0.4014)
O (0.9145, 0.6329, 0.4203)
O (0.9438, 0.2531, 0.1570)
O (0.9465, 0.7522, 0.1548)
O (0.9979, 0.5192, 0.4290)

Principal peaks in the range 2θ from 10° to 80°, sorted by position:
20.70 deg, rel. 56
20.89 deg, rel. 70
25.67 deg, rel. 41
26.09 deg, rel. 47
28.31 deg, rel. 62
28.49 deg, rel. 76
28.82 deg, rel. 67
29.53 deg, rel. 48
31.41 deg, rel. 45
31.69 deg, rel. 100

***

[4]
Structure and theoretical powder diffraction line list of AlC6N9 (a structure optimized by DFT (PBE); Cu Kα X-rays).
Intensities are scaled so that the largest is 100.

Atomic structure:
Cell: 7.5831 7.5831 11.6230 Å, 90.00 90.00 125.58°
Fractional positions:
Al (0.2225, 0.7775, 0.7500)
Al (0.7775, 0.2225, 0.2500)
C (0.0387, 0.2852, 0.7500)
C (0.1921, 0.4841, 0.0947)
C (0.1921, 0.4841, 0.4053)
C (0.2852, 0.0387, 0.2500)
C (0.4841, 0.1921, 0.5947)
C (0.4841, 0.1921, 0.9053)
C (0.5159, 0.8079, 0.0947)
C (0.5159, 0.8079, 0.4053)
C (0.7148, 0.9613, 0.7500)
C (0.8079, 0.5159, 0.5947)
C (0.8079, 0.5159, 0.9053)
C (0.9613, 0.7148, 0.2500)
N (0.0216, 0.3531, 0.1352)
N (0.0216, 0.3531, 0.3648)
N (0.0758, 0.9242, 0.2500)
N (0.1490, 0.4759, 0.7500)
N (0.3531, 0.0216, 0.6352)
N (0.3531, 0.0216, 0.8648)
N (0.3772, 0.6228, 0.0469)
N (0.3772, 0.6228, 0.4531)
N (0.4759, 0.1490, 0.2500)
N (0.5241, 0.8510, 0.7500)
N (0.6228, 0.3772, 0.5469)
N (0.6228, 0.3772, 0.9531)
N (0.6469, 0.9784, 0.1352)
N (0.6469, 0.9784, 0.3648)
N (0.8510, 0.5241, 0.2500)
N (0.9242, 0.0758, 0.7500)
N (0.9784, 0.6469, 0.6352)
N (0.9784, 0.6469, 0.8648)

Principal peaks in the range 2θ from 10° to 80°, sorted by position:
13.13 deg, rel. 71
15.24 deg, rel. 44
21.00 deg, rel. 37
24.81 deg, rel. 37
26.43 deg, rel. 36
26.53 deg, rel. 100
27.18 deg, rel. 18
27.54 deg, rel. 14
44.16 deg, rel. 11
49.08 deg, rel. 11